Structure and computed PXRD pattern of BaCaDyNbO6 (a DFT-relaxed cell (PBE, the Materials Project); Cu Kα (weighted mean of Kα1 and Kα2)).
Kinematic intensities with the Lorentz-polarization factor, no thermal factor.

Peak list (10 most intense, 10° ≤ 2θ ≤ 90°, sorted by position)
two_theta  I (rel.)  h k l
18.1  14.9  1 1 1
21.0  10.7  2 0 0
29.8  100.0  2 2 0
35.2  10.2  3 1 1
42.7  32.3  4 0 0
53.0  40.0  4 2 2
62.0  19.8  4 4 0
70.3  17.6  6 2 0
78.2  6.4  4 4 4
85.9  21.0  6 4 2

Cell and atoms:
```
data_BaCaDyNbO6
_space_group_name_H-M_alt 'F -4 3 m'
_space_group_IT_number 216
_space_group_name_Hall 'F -4 2 3'
_cell_length_a 8.467
_cell_length_b 8.467
_cell_length_c 8.467
_cell_angle_alpha 90.00
_cell_angle_beta 90.00
_cell_angle_gamma 90.00
loop_
_atom_site_label
_atom_site_type_symbol
_atom_site_fract_x
_atom_site_fract_y
_atom_site_fract_z
Ba1 Ba 0.000 0.000 0.000
Ca1 Ca 0.000 0.000 0.500
Dy1 Dy 0.250 0.250 0.750
Nb1 Nb 0.250 0.250 0.250
O1 O 0.012 0.250 0.250
```